[1]
Structure and simulated powder XRD pattern of Zn13Rh (a cell relaxed with GGA-PBE; Cu Kα (λ = 1.5418 Å)).
Kinematic intensities with the Lorentz-polarization factor, no thermal factor.

Largest 10 diffraction maxima, by intensity, 5 to 70 degrees two-theta:
- d = 2.195 Å, 2θ = 41.12°, rel. 100.0, (3 1 -2)
- d = 2.177 Å, 2θ = 41.49°, rel. 82.6, (1 3 1)
- d = 2.147 Å, 2θ = 42.09°, rel. 69.3, (4 2 -1)
- d = 2.069 Å, 2θ = 43.75°, rel. 68.7, (5 1 0)
- d = 2.102 Å, 2θ = 43.03°, rel. 39.2, (0 2 2)
- d = 2.124 Å, 2θ = 42.57°, rel. 35.4, (2 0 2)
- d = 1.901 Å, 2θ = 47.85°, rel. 14.9, (0 4 0)
- d = 2.516 Å, 2θ = 35.69°, rel. 12.0, (2 2 1)
- d = 1.557 Å, 2θ = 59.35°, rel. 11.8, (2 2 -3)
- d = 1.577 Å, 2θ = 58.52°, rel. 11.7, (1 1 3)

Cell and atoms:
Lattice parameters (Å, degrees): 10.9803 7.6043 5.1524 90.00 101.71 90.00
Space group C2/m (No. 12)
Symmetry-distinct sites (fractional):
Zn (0.0000, 0.0000, 0.0000) (multiplicity 2)
Zn (0.0800, 0.3016, 0.3207) (multiplicity 8)
Zn (0.1125, 0.5000, 0.9287) (multiplicity 4)
Zn (0.1793, 0.1821, 0.8022) (multiplicity 8)
Zn (0.2239, 0.0000, 0.3694) (multiplicity 4)
Rh (0.0000, 0.0000, 0.5000) (multiplicity 2)



[2]
Structure and simulated powder XRD pattern of Te2MoWS2 (a cell relaxed with GGA-PBE; Cu Kα (λ = 1.5418 Å)).
Kinematic intensities with the Lorentz-polarization factor, no thermal factor.

Largest 10 diffraction maxima, by intensity, 5 to 70 degrees two-theta:
- d = 2.487 Å, 2θ = 36.12°, rel. 100.0, (1 0 8)
- d = 7.668 Å, 2θ = 11.54°, rel. 98.0, (0 0 5)
- d = 12.780 Å, 2θ = 6.92°, rel. 79.4, (0 0 3)
- d = 2.908 Å, 2θ = 30.75°, rel. 52.1, (1 0 0)
- d = 2.071 Å, 2θ = 43.71°, rel. 46.2, (0 1 13)
- d = 1.679 Å, 2θ = 54.65°, rel. 29.6, (1 1 0)
- d = 2.317 Å, 2θ = 38.86°, rel. 19.5, (0 1 10)
- d = 1.392 Å, 2θ = 67.27°, rel. 16.0, (0 2 8)
- d = 2.720 Å, 2θ = 32.93°, rel. 15.0, (1 0 5)
- d = 2.399 Å, 2θ = 37.49°, rel. 13.4, (0 0 16)

Cell and atoms:
Lattice parameters (Å, degrees): 3.3590 3.3590 38.3407 90.00 90.00 120.00
Space group P3m1 (No. 156)
Symmetry-distinct sites (fractional):
Te (0.0000, 0.0000, 0.0000) (multiplicity 1)
Te (0.0000, 0.0000, 0.0986) (multiplicity 1)
Te (0.0000, 0.0000, 0.3754) (multiplicity 1)
Te (0.0000, 0.0000, 0.4747) (multiplicity 1)
Mo (0.0000, 0.0000, 0.2372) (multiplicity 1)
Mo (0.3333, 0.6667, 0.0493) (multiplicity 1)
W (0.0000, 0.0000, 0.8614) (multiplicity 1)
W (0.3333, 0.6667, 0.4251) (multiplicity 1)
S (0.3333, 0.6667, 0.1977) (multiplicity 1)
S (0.3333, 0.6667, 0.2766) (multiplicity 1)
S (0.3333, 0.6667, 0.8218) (multiplicity 1)
S (0.3333, 0.6667, 0.9011) (multiplicity 1)